1.
For Y4TlHgC, DFT lattice parameters and positions (PBE) gives the theoretical X-ray powder pattern in this record (λ = 1.5418 Å (Cu Kα)).

Principal peaks in the range 5° ≤ 2θ ≤ 70°, sorted by position:
Position (°2θ)	I (rel.)	h k l
18.9	28	1 1 1
25.5	44	2 0 0
28.2	35	2 2 0
34.9	23	1 5 1
35.1	100	2 4 0
36.4	62	2 0 2
52.5	22	4 0 0
64.7	21	2 4 4

Cell and atoms:
Unit cell a=6.972 b=15.046 c=6.978 alpha=90.00 beta=90.00 gamma=90.00
Space group Cmcm (No. 63)
Asymmetric unit:
Y 0.000 0.083 0.250
Y 0.000 0.414 0.250
Y 0.250 0.250 0.000
Tl 0.000 0.382 0.750
Hg 0.000 0.119 0.750
C 0.000 0.249 0.250

---

2.
For Tm8HgC4, DFT lattice parameters and positions (PBE) gives the theoretical X-ray powder pattern in this record (λ = 1.5418 Å (Cu Kα)).

Principal peaks in the range 5° ≤ 2θ ≤ 70°, sorted by position:
Position (°2θ)	I (rel.)	h k l
30.8	26	0 0 3
31.2	45	6 0 -3
32.9	100	3 1 0
33.5	79	3 1 -3
36.7	18	4 0 1
50.7	16	0 2 0
53.9	22	1 1 4
65.7	16	2 0 -7

Cell and atoms:
Unit cell a=17.231 b=3.598 c=12.019 alpha=90.00 beta=133.61 gamma=90.00
Space group C2/m (No. 12)
Asymmetric unit:
Tm 0.044 0.000 0.218
Tm 0.146 0.500 0.103
Tm 0.154 0.500 0.834
Tm 0.191 0.500 0.549
Hg 0.000 0.000 0.500
C 0.152 0.000 0.971
C 0.174 0.500 0.330

---

Repeat the first record exactly.
For Y4TlHgC, DFT lattice parameters and positions (PBE) gives the theoretical X-ray powder pattern in this record (λ = 1.5418 Å (Cu Kα)).

Principal peaks in the range 5° ≤ 2θ ≤ 70°, sorted by position:
Position (°2θ)	I (rel.)	h k l
18.9	28	1 1 1
25.5	44	2 0 0
28.2	35	2 2 0
34.9	23	1 5 1
35.1	100	2 4 0
36.4	62	2 0 2
52.5	22	4 0 0
64.7	21	2 4 4

Cell and atoms:
Unit cell a=6.972 b=15.046 c=6.978 alpha=90.00 beta=90.00 gamma=90.00
Space group Cmcm (No. 63)
Asymmetric unit:
Y 0.000 0.083 0.250
Y 0.000 0.414 0.250
Y 0.250 0.250 0.000
Tl 0.000 0.382 0.750
Hg 0.000 0.119 0.750
C 0.000 0.249 0.250